This entry pairs a crystal structure of TmMn6InSn5 with its simulated powder XRD pattern. Radiation: Cu Kα (λ = 1.5418 Å). Structure: a GGA-PBE-relaxed structure.

Most intense lines, 10 to 90 degrees two-theta, by intensity:
d_spacing  I (rel.)  h k l
2.706  100  1 1 0
2.321  87  1 1 2
2.532  48  1 0 3
2.080  43  2 0 2
1.315  36  1 1 6
1.353  29  2 2 0
2.344  28  2 0 0
2.012  26  1 1 3
2.257  24  0 0 4
1.476  21  3 0 2

Cell and atoms:
```
data_TmMn6InSn5
_chemical_formula_sum 'Tm1 Mn6 In1 Sn5'
_cell_length_a 5.4124
_cell_length_b 5.4124
_cell_length_c 9.0280
_cell_angle_alpha 90.00
_cell_angle_beta 90.00
_cell_angle_gamma 120.00
_symmetry_space_group_name_H-M 'P -6 m 2'
_symmetry_Int_Tables_number 187
_symmetry_space_group_name_Hall 'P -6 2'
loop_
_atom_site_label
_atom_site_fract_x
_atom_site_fract_y
_atom_site_fract_z
Tm1 0.0000 0.0000 0.0000
Mn1 0.0007 0.5003 0.2459
In1 0.6667 0.3333 0.5000
Sn1 0.0000 0.0000 0.3331
Sn2 0.3333 0.6667 0.0000
Sn3 0.3333 0.6667 0.5000
Sn4 0.6667 0.3333 0.0000
```